For TeAu2C, a cell relaxed with PBE gives the calculated powder diffractogram in this record (CuKα).
Kinematic intensities with the Lorentz-polarization factor, no thermal factor.

Largest 10 diffraction maxima, low angle first, 2θ = 5–70°:
index, d (Å), I/Imax
1 0 3, 3.282, 598
0 0 4, 3.219, 192
1 1 2, 3.143, 1000
2 0 2, 2.368, 218
1 0 5, 2.298, 231
2 1 1, 2.243, 769
2 1 3, 2.012, 271
2 0 4, 1.997, 314
1 1 6, 1.843, 220
0 0 8, 1.610, 235

Cell and atoms:
Lattice parameters (Å, degrees): 5.093 5.093 12.874 90.00 90.00 90.00
Space group I-42d (No. 122)
Asymmetric unit:
Te1 0.000 0.000 0.000 [4 per cell]
Au1 0.121 0.250 0.625 [8 per cell]
C1 0.000 0.000 0.500 [4 per cell]